[1]
Simulated powder diffractogram
Compound: NdCrO3
Radiation: a wavelength of 1.5418 Å
Structure: a cell relaxed with GGA+U
Kinematic intensities with the Lorentz-polarization factor, no thermal factor.

The 6 most intense peaks (2θ from 10° to 90°), by angle:
2θ = 22.7°, intensity 31; 2θ = 31.8°, intensity 21; 2θ = 32.3°, intensity 100; 2θ = 32.7°, intensity 24; 2θ = 46.3°, intensity 23; 2θ = 58.1°, intensity 22

Cell and atoms:
Cell: 5.6240 7.8207 5.4788 Å, 90.00 90.00 90.00°
Fractional coordinates of all 20 atoms:
Nd (0.0512, 0.2500, 0.0132)
Nd (0.4488, 0.7500, 0.5132)
Nd (0.5512, 0.2500, 0.4868)
Nd (0.9488, 0.7500, 0.9868)
Cr (0.0000, 0.0000, 0.5000)
Cr (0.0000, 0.5000, 0.5000)
Cr (0.5000, 0.0000, 0.0000)
Cr (0.5000, 0.5000, 0.0000)
O (0.0263, 0.7500, 0.4087)
O (0.2078, 0.5488, 0.7928)
O (0.2078, 0.9512, 0.7928)
O (0.2922, 0.0488, 0.2928)
O (0.2922, 0.4512, 0.2928)
O (0.4737, 0.2500, 0.9087)
O (0.5263, 0.7500, 0.0913)
O (0.7078, 0.5488, 0.7072)
O (0.7078, 0.9512, 0.7072)
O (0.7922, 0.0488, 0.2072)
O (0.7922, 0.4512, 0.2072)
O (0.9737, 0.2500, 0.5913)

[2]
Simulated powder diffractogram
Compound: NdCrO4
Radiation: a wavelength of 1.5418 Å
Structure: a cell relaxed with GGA+U
Kinematic intensities with the Lorentz-polarization factor, no thermal factor.

The 6 most intense peaks (2θ from 10° to 90°), by angle:
2θ = 18.2°, intensity 28; 2θ = 23.9°, intensity 100; 2θ = 32.6°, intensity 68; 2θ = 34.1°, intensity 21; 2θ = 47.9°, intensity 57; 2θ = 60.1°, intensity 17

Cell and atoms:
Cell: 6.1676 6.1676 6.1676 Å, 105.85 105.85 116.99°
Fractional coordinates of all 12 atoms:
Nd (0.3750, 0.6250, 0.7500)
Nd (0.6250, 0.3750, 0.2500)
Cr (0.1250, 0.8750, 0.2500)
Cr (0.8750, 0.1250, 0.7500)
O (0.1365, 0.7062, 0.4303)
O (0.2240, 0.2938, 0.9303)
O (0.2938, 0.2240, 0.4303)
O (0.2938, 0.8635, 0.0697)
O (0.7062, 0.1365, 0.9303)
O (0.7062, 0.7760, 0.5697)
O (0.7760, 0.7062, 0.0697)
O (0.8635, 0.2938, 0.5697)

[3]
Simulated powder diffractogram
Compound: NdCrO3
Radiation: a wavelength of 1.5418 Å
Structure: a cell relaxed with GGA+U
Kinematic intensities with the Lorentz-polarization factor, no thermal factor.

The 6 most intense peaks (2θ from 10° to 90°), by angle:
2θ = 22.8°, intensity 19; 2θ = 32.5°, intensity 100; 2θ = 40.0°, intensity 22; 2θ = 46.6°, intensity 32; 2θ = 57.9°, intensity 38; 2θ = 67.9°, intensity 19

Cell and atoms:
Cell: 3.9019 3.9019 3.9019 Å, 90.00 90.00 90.00°
Fractional coordinates of all 5 atoms:
Nd (0.0000, 0.0000, 0.0000)
Cr (0.5000, 0.5000, 0.5000)
O (0.0000, 0.5000, 0.5000)
O (0.5000, 0.0000, 0.5000)
O (0.5000, 0.5000, 0.0000)

[4]
Simulated powder diffractogram
Compound: NdCr2O2
Radiation: a wavelength of 1.5418 Å
Structure: a cell relaxed with GGA+U
Kinematic intensities with the Lorentz-polarization factor, no thermal factor.

The 6 most intense peaks (2θ from 10° to 90°), by angle:
2θ = 13.4°, intensity 38; 2θ = 26.9°, intensity 50; 2θ = 28.4°, intensity 100; 2θ = 35.3°, intensity 54; 2θ = 40.6°, intensity 29; 2θ = 49.4°, intensity 30

Cell and atoms:
Cell: 8.0101 8.0101 8.0101 Å, 112.69 112.69 103.20°
Fractional coordinates of all 20 atoms:
Nd (0.0000, 0.0000, 0.0000)
Nd (0.0000, 0.0000, 0.5000)
Nd (0.0000, 0.5000, 0.0000)
Nd (0.5000, 0.0000, 0.5000)
Cr (0.0746, 0.6322, 0.4424)
Cr (0.3102, 0.3678, 0.9424)
Cr (0.3678, 0.3102, 0.4424)
Cr (0.3678, 0.9254, 0.0576)
Cr (0.6322, 0.0746, 0.9424)
Cr (0.6322, 0.6898, 0.5576)
Cr (0.6898, 0.6322, 0.0576)
Cr (0.9254, 0.3678, 0.5576)
O (0.2131, 0.3016, 0.5885)
O (0.2131, 0.6246, 0.9115)
O (0.3016, 0.2131, 0.0885)
O (0.3754, 0.7869, 0.5885)
O (0.6246, 0.2131, 0.4115)
O (0.6984, 0.7869, 0.9115)
O (0.7869, 0.3754, 0.0885)
O (0.7869, 0.6984, 0.4115)

[5]
Simulated powder diffractogram
Compound: NdCrS2O
Radiation: a wavelength of 1.5418 Å
Structure: a cell relaxed with GGA+U
Kinematic intensities with the Lorentz-polarization factor, no thermal factor.

The 6 most intense peaks (2θ from 10° to 90°), by angle:
2θ = 27.1°, intensity 65; 2θ = 27.5°, intensity 94; 2θ = 30.7°, intensity 31; 2θ = 33.7°, intensity 55; 2θ = 35.2°, intensity 100; 2θ = 42.5°, intensity 38

Cell and atoms:
Cell: 6.1111 6.1111 7.9817 Å, 90.08 90.08 35.55°
Fractional coordinates of all 10 atoms:
Nd (0.2341, 0.2341, 0.2939)
Nd (0.7659, 0.7659, 0.7061)
Cr (0.0000, 0.0000, 0.0000)
Cr (0.5000, 0.5000, 0.5000)
S (0.0448, 0.0448, 0.6982)
S (0.3628, 0.3628, 0.9711)
S (0.6372, 0.6372, 0.0289)
S (0.9552, 0.9552, 0.3018)
O (0.3335, 0.3335, 0.5610)
O (0.6665, 0.6665, 0.4390)

[6]
Simulated powder diffractogram
Compound: SrNdZrCrO6
Radiation: a wavelength of 1.5418 Å
Structure: a cell relaxed with GGA+U
Kinematic intensities with the Lorentz-polarization factor, no thermal factor.

The 6 most intense peaks (2θ from 10° to 90°), by angle:
2θ = 31.3°, intensity 100; 2θ = 38.6°, intensity 11; 2θ = 44.9°, intensity 34; 2θ = 55.8°, intensity 39; 2θ = 65.4°, intensity 20; 2θ = 74.3°, intensity 17

Cell and atoms:
Cell: 5.7116 5.7116 5.7116 Å, 60.00 60.00 60.00°
Fractional coordinates of all 10 atoms:
Sr (0.0000, 0.0000, 0.0000)
Nd (0.5000, 0.5000, 0.5000)
Zr (0.2500, 0.2500, 0.2500)
Cr (0.7500, 0.7500, 0.7500)
O (0.5060, 0.5060, 0.9940)
O (0.5060, 0.9940, 0.5060)
O (0.5060, 0.9940, 0.9940)
O (0.9940, 0.5060, 0.5060)
O (0.9940, 0.5060, 0.9940)
O (0.9940, 0.9940, 0.5060)

[7]
Simulated powder diffractogram
Compound: CrNiO4
Radiation: a wavelength of 1.5418 Å
Structure: a cell relaxed with GGA+U
Kinematic intensities with the Lorentz-polarization factor, no thermal factor.

The 6 most intense peaks (2θ from 10° to 90°), by angle:
2θ = 23.9°, intensity 71; 2θ = 25.5°, intensity 47; 2θ = 32.4°, intensity 43; 2θ = 34.5°, intensity 100; 2θ = 36.0°, intensity 55; 2θ = 63.0°, intensity 42

Cell and atoms:
Cell: 5.0207 5.0207 6.2972 Å, 90.00 90.00 113.19°
Fractional coordinates of all 12 atoms:
Cr (0.1433, 0.8567, 0.7500)
Cr (0.8567, 0.1433, 0.2500)
Ni (0.5000, 0.5000, 0.0000)
Ni (0.5000, 0.5000, 0.5000)
O (0.2277, 0.2828, 0.2500)
O (0.2573, 0.7427, 0.5399)
O (0.2573, 0.7427, 0.9601)
O (0.2828, 0.2277, 0.7500)
O (0.7172, 0.7723, 0.2500)
O (0.7427, 0.2573, 0.0399)
O (0.7427, 0.2573, 0.4601)
O (0.7723, 0.7172, 0.7500)